Starting from a DFT-relaxed cell (PBE, Alexandria), the XRD peak list of Ti3GeRh6 was computed for Cu Kα X-rays.
Kinematic intensities with the Lorentz-polarization factor, no thermal factor.

The 6 most intense peaks (10° ≤ 2θ ≤ 80°), low angle first:
- 2θ = 39.90°, 2.260 Å, intensity 100, hkl 4 0 1
- 2θ = 40.24°, 2.241 Å, intensity 58, hkl 3 1 2
- 2θ = 41.59°, 2.171 Å, intensity 38, hkl 1 0 4
- 2θ = 41.99°, 2.152 Å, intensity 76, hkl 0 3 3
- 2θ = 43.42°, 2.084 Å, intensity 57, hkl 3 2 1
- 2θ = 43.74°, 2.069 Å, intensity 42, hkl 0 4 2

Structure:
Cell lengths 10.7872, 10.7872, 8.9301 Å; angles 90.00, 90.00, 120.00 degrees
Space group R-3m (No. 166, hexagonal axes)
Inequivalent atoms, fractional coordinates:
Ti: 0.0931 0.1861 0.2474 (multiplicity 18)
Ge: 0.0000 0.0000 0.0000 (multiplicity 3)
Ge: 0.0000 0.0000 0.5000 (multiplicity 3)
Rh: 0.0000 0.2596 0.5000 (multiplicity 18)
Rh: 0.0686 0.5343 0.6196 (multiplicity 18)